La4Nd3Ho: calculated X-ray powder pattern (Cu Ka), based on a DFT-relaxed cell (GGA-PBE, Alexandria).
Lines closer than 0.1° are merged.

Largest 10 diffraction maxima, sorted by position, 10 to 90 degrees two-theta:
2θ/deg, intensity
27.8, 60
28.8, 59
29.1, 100
30.4, 58
30.7, 73
30.8, 40
31.1, 94
32.1, 58
35.2, 41
56.0, 39

Cell and atoms:
```
data_La4Nd3Ho
_chemical_formula_sum 'La4 Nd3 Ho1'
_cell_length_a 13.007
_cell_length_b 13.007
_cell_length_c 6.308
_cell_angle_alpha 93.68
_cell_angle_beta 93.68
_cell_angle_gamma 15.63
_space_group_name_H-M_alt 'P 1'
_space_group_IT_number 1
loop_
_space_group_symop_operation_xyz
'x,y,z'
loop_
_atom_site_label
_atom_site_type_symbol
_atom_site_fract_x
_atom_site_fract_y
_atom_site_fract_z
_atom_site_occupancy
La1 La 0.105 0.105 0.231 1
La2 La 0.280 0.280 0.756 1
La3 La 0.720 0.720 0.244 1
La4 La 0.895 0.895 0.769 1
Nd1 Nd 0.000 0.000 0.500 1
Nd2 Nd 0.144 0.144 0.741 1
Nd3 Nd 0.856 0.856 0.259 1
Ho1 Ho 0.500 0.500 0.000 1
```

NaPm12Ge6: calculated X-ray powder pattern (Cu Ka), based on a DFT-relaxed cell (GGA-PBE, Alexandria).
Lines closer than 0.1° are merged.

Largest 10 diffraction maxima, sorted by position, 10 to 90 degrees two-theta:
2θ/deg, intensity
10.8, 68
12.7, 37
27.2, 36
27.9, 87
32.9, 100
33.0, 26
33.4, 42
33.8, 50
38.8, 34
40.8, 33

Cell and atoms:
```
data_NaPm12Ge6
_chemical_formula_sum 'Na1 Pm12 Ge6'
_cell_length_a 8.853
_cell_length_b 8.853
_cell_length_c 8.853
_cell_angle_alpha 103.69
_cell_angle_beta 103.69
_cell_angle_gamma 103.69
_space_group_name_H-M_alt 'P 1'
_space_group_IT_number 1
loop_
_space_group_symop_operation_xyz
'x,y,z'
loop_
_atom_site_label
_atom_site_type_symbol
_atom_site_fract_x
_atom_site_fract_y
_atom_site_fract_z
_atom_site_occupancy
Na1 Na 0.000 0.000 0.000 1
Pm1 Pm 0.133 0.500 0.867 1
Pm2 Pm 0.133 0.867 0.500 1
Pm3 Pm 0.181 0.457 0.457 1
Pm4 Pm 0.457 0.181 0.457 1
Pm5 Pm 0.457 0.457 0.181 1
Pm6 Pm 0.500 0.133 0.867 1
Pm7 Pm 0.500 0.867 0.133 1
Pm8 Pm 0.543 0.543 0.819 1
Pm9 Pm 0.543 0.819 0.543 1
Pm10 Pm 0.819 0.543 0.543 1
Pm11 Pm 0.867 0.133 0.500 1
Pm12 Pm 0.867 0.500 0.133 1
Ge1 Ge 0.240 0.240 0.673 1
Ge2 Ge 0.240 0.673 0.240 1
Ge3 Ge 0.327 0.760 0.760 1
Ge4 Ge 0.673 0.240 0.240 1
Ge5 Ge 0.760 0.327 0.760 1
Ge6 Ge 0.760 0.760 0.327 1
```

RbInHg2Pb4: calculated X-ray powder pattern (Cu Ka), based on a DFT-relaxed cell (GGA-PBE, Alexandria).
Lines closer than 0.1° are merged.

Largest 10 diffraction maxima, sorted by position, 10 to 90 degrees two-theta:
2θ/deg, intensity
18.9, 24
25.0, 57
25.1, 22
30.1, 38
32.9, 94
37.2, 100
38.3, 21
47.3, 35
61.6, 47
69.6, 19

Cell and atoms:
```
data_RbInHg2Pb4
_chemical_formula_sum 'Rb1 In1 Hg2 Pb4'
_cell_length_a 5.439
_cell_length_b 5.439
_cell_length_c 9.333
_cell_angle_alpha 90.00
_cell_angle_beta 90.00
_cell_angle_gamma 90.00
_space_group_name_H-M_alt 'P 1'
_space_group_IT_number 1
loop_
_space_group_symop_operation_xyz
'x,y,z'
loop_
_atom_site_label
_atom_site_type_symbol
_atom_site_fract_x
_atom_site_fract_y
_atom_site_fract_z
_atom_site_occupancy
Rb1 Rb 0.000 0.000 0.000 1
In1 In 0.000 0.000 0.500 1
Hg1 Hg 0.500 0.500 0.153 1
Hg2 Hg 0.500 0.500 0.847 1
Pb1 Pb 0.000 0.500 0.322 1
Pb2 Pb 0.000 0.500 0.678 1
Pb3 Pb 0.500 0.000 0.322 1
Pb4 Pb 0.500 0.000 0.678 1
```

Copy entry 1 word for word.
La4Nd3Ho: calculated X-ray powder pattern (Cu Ka), based on a DFT-relaxed cell (GGA-PBE, Alexandria).
Lines closer than 0.1° are merged.

Largest 10 diffraction maxima, sorted by position, 10 to 90 degrees two-theta:
2θ/deg, intensity
27.8, 60
28.8, 59
29.1, 100
30.4, 58
30.7, 73
30.8, 40
31.1, 94
32.1, 58
35.2, 41
56.0, 39

Cell and atoms:
```
data_La4Nd3Ho
_chemical_formula_sum 'La4 Nd3 Ho1'
_cell_length_a 13.007
_cell_length_b 13.007
_cell_length_c 6.308
_cell_angle_alpha 93.68
_cell_angle_beta 93.68
_cell_angle_gamma 15.63
_space_group_name_H-M_alt 'P 1'
_space_group_IT_number 1
loop_
_space_group_symop_operation_xyz
'x,y,z'
loop_
_atom_site_label
_atom_site_type_symbol
_atom_site_fract_x
_atom_site_fract_y
_atom_site_fract_z
_atom_site_occupancy
La1 La 0.105 0.105 0.231 1
La2 La 0.280 0.280 0.756 1
La3 La 0.720 0.720 0.244 1
La4 La 0.895 0.895 0.769 1
Nd1 Nd 0.000 0.000 0.500 1
Nd2 Nd 0.144 0.144 0.741 1
Nd3 Nd 0.856 0.856 0.259 1
Ho1 Ho 0.500 0.500 0.000 1
```